For NaSnPCO7, a cell relaxed with GGA-PBE gives the computed X-ray diffraction stick pattern in this record (Cu Kα (weighted mean of Kα1 and Kα2)).
Peak positions follow from Bragg's law for the DFT cell and can differ from measured ones.

Principal peaks in the range 5° ≤ 2θ ≤ 70°, low angle first:
(hkl)  two_theta  d (Å)  Rel. int.
0 0 1  10.06  8.788  67
0 1 1  16.82  5.271  78
1 0 -1  19.21  4.620  75
1 0 1  19.74  4.497  92
1 1 0  21.45  4.143  33
1 0 -2  25.88  3.442  35
0 2 0  27.07  3.294  100
2 0 0  33.67  2.662  47

Structural model:
abc: 5.332 6.588 8.793
angles: 90.00 91.74 90.00
Space group P2_1/m (No. 11)
Symmetry-distinct sites (fractional):
1 Na 0.229 0.250 0.085
2 Sn 0.220 0.750 0.332
3 P 0.275 0.250 0.431
4 C 0.297 0.750 0.046
5 O 0.068 0.750 0.106
6 O 0.128 0.250 0.578
7 O 0.212 0.066 0.326
8 O 0.333 0.750 0.908
9 O 0.441 0.750 0.525
10 O 0.480 0.750 0.154

For Ba2Ca3Tl2Cu4O12, a cell relaxed with GGA-PBE gives the computed X-ray diffraction stick pattern in this record (Cu Kα (weighted mean of Kα1 and Kα2)).
Peak positions follow from Bragg's law for the DFT cell and can differ from measured ones.

Principal peaks in the range 5° ≤ 2θ ≤ 70°, low angle first:
(hkl)  two_theta  d (Å)  Rel. int.
1 0 7  27.13  3.287  80
1 0 9  29.59  3.019  100
1 0 11  32.41  2.762  41
1 1 0  32.63  2.744  100
1 1 2  32.90  2.723  26
2 0 0  46.81  1.941  56
1 1 16  47.19  1.926  27
2 1 9  56.36  1.633  34

Structural model:
abc: 3.881 3.881 43.250
angles: 90.00 90.00 90.00
Space group I4/mmm (No. 139)
Symmetry-distinct sites (fractional):
1 Ba 0.000 0.000 0.157
2 Ca 0.000 0.000 0.000
3 Ca 0.000 0.000 0.075
4 Tl 0.000 0.000 0.277
5 Cu 0.000 0.000 0.390
6 Cu 0.000 0.000 0.462
7 O 0.000 0.000 0.228
8 O 0.000 0.000 0.323
9 O 0.000 0.500 0.037
10 O 0.000 0.500 0.111

Please write out number 1 again, unchanged.
For NaSnPCO7, a cell relaxed with GGA-PBE gives the computed X-ray diffraction stick pattern in this record (Cu Kα (weighted mean of Kα1 and Kα2)).
Peak positions follow from Bragg's law for the DFT cell and can differ from measured ones.

Principal peaks in the range 5° ≤ 2θ ≤ 70°, low angle first:
(hkl)  two_theta  d (Å)  Rel. int.
0 0 1  10.06  8.788  67
0 1 1  16.82  5.271  78
1 0 -1  19.21  4.620  75
1 0 1  19.74  4.497  92
1 1 0  21.45  4.143  33
1 0 -2  25.88  3.442  35
0 2 0  27.07  3.294  100
2 0 0  33.67  2.662  47

Structural model:
abc: 5.332 6.588 8.793
angles: 90.00 91.74 90.00
Space group P2_1/m (No. 11)
Symmetry-distinct sites (fractional):
1 Na 0.229 0.250 0.085
2 Sn 0.220 0.750 0.332
3 P 0.275 0.250 0.431
4 C 0.297 0.750 0.046
5 O 0.068 0.750 0.106
6 O 0.128 0.250 0.578
7 O 0.212 0.066 0.326
8 O 0.333 0.750 0.908
9 O 0.441 0.750 0.525
10 O 0.480 0.750 0.154